For MgPb2WO6, a cell relaxed with GGA+U gives the simulated X-ray powder pattern in this record (Cu Kα X-rays).
Intensities are scaled so that the largest is 100.

Atomic structure:
```
data_MgPb2WO6
_space_group_name_H-M_alt 'P n m a'
_space_group_IT_number 62
_cell_length_a 11.5821
_cell_length_b 8.0602
_cell_length_c 5.7944
_cell_angle_alpha 90.00
_cell_angle_beta 90.00
_cell_angle_gamma 90.00
loop_
_space_group_symop_operation_xyz
'x,y,z'
'-x,-y,-z'
'-x+1/2,-y,z+1/2'
'x+1/2,y,-z+1/2'
'x+1/2,-y+1/2,-z+1/2'
'-x+1/2,y+1/2,z+1/2'
'-x,y+1/2,-z'
'x,-y+1/2,z'
loop_
_atom_site_label
_atom_site_type_symbol
_atom_site_fract_x
_atom_site_fract_y
_atom_site_fract_z
Mg1 Mg 0.1210 0.2500 0.2439
Pb1 Pb 0.1434 0.5047 0.7081
W1 W 0.1175 0.7500 0.2456
O1 O 0.0012 0.7500 0.4851
O2 O 0.0103 0.7500 0.0044
O3 O 0.1335 0.5083 0.2699
O4 O 0.2355 0.7500 0.5215
O5 O 0.2479 0.2500 0.5365
```

Principal peaks in the range 2θ from 10° to 90°, low angle first:
hkl 2 1 0, 18.87°, I = 28
hkl 4 0 0, 30.87°, I = 47
hkl 2 2 1, 31.13°, I = 100
hkl 2 1 2, 36.43°, I = 10
hkl 4 2 0, 38.27°, I = 12
hkl 4 0 2, 44.22°, I = 23
hkl 0 4 0, 44.99°, I = 15
hkl 6 2 1, 55.07°, I = 29
hkl 4 4 0, 55.56°, I = 19
hkl 4 4 2, 64.92°, I = 16